The following is a theoretical PXRD pattern of Li2TiFeO4. It was derived from DFT lattice parameters and positions (PBE+U), using λ = 1.5418 Å (Cu Kα).
Peak positions follow from Bragg's law for the DFT cell and can differ from measured ones.

Top 6 peaks for 15 to 90 degrees two-theta, low angle first:
(1 0 1), 18.04°, d 4.918, intensity 100; (1 -2 1), 35.05°, d 2.560, intensity 28; (0 2 2), 36.54°, d 2.459, intensity 15; (0 0 4), 42.06°, d 2.148, intensity 28; (2 2 0), 42.64°, d 2.120, intensity 56; (2 2 4), 61.44°, d 1.509, intensity 29

Structural model:
Cell: 5.9926 6.0016 8.5938 Å, 90.02 90.01 90.03°
Positions (direct):
Li 0.0000 0.0000 0.0000
Li 0.0000 0.5000 0.0000
Li 0.2487 0.2495 0.2329
Li 0.2505 0.7494 0.7334
Li 0.5000 0.0000 0.5000
Li 0.5000 0.5000 0.5000
Li 0.7495 0.2506 0.2666
Li 0.7513 0.7505 0.7671
Ti 0.2253 0.7491 0.2560
Ti 0.2744 0.2489 0.7557
Ti 0.7256 0.7511 0.2443
Ti 0.7747 0.2509 0.7440
Fe 0.0000 0.0000 0.5000
Fe 0.0000 0.5000 0.5000
Fe 0.5000 0.0000 0.0000
Fe 0.5000 0.5000 0.0000
O 0.0062 0.9801 0.2452
O 0.0065 0.5190 0.2454
O 0.2340 0.2501 0.5247
O 0.2427 0.2510 0.9797
O 0.2587 0.7500 0.4790
O 0.2666 0.7496 0.0240
O 0.4935 0.0190 0.7456
O 0.4937 0.4805 0.7464
O 0.5063 0.5195 0.2536
O 0.5065 0.9810 0.2544
O 0.7334 0.2504 0.9760
O 0.7413 0.2500 0.5210
O 0.7573 0.7490 0.0203
O 0.7660 0.7499 0.4753
O 0.9935 0.4810 0.7546
O 0.9938 0.0199 0.7548